Record 1
Diffraction record for Dy2Cu2Pd. The powder XRD pattern is calculated, not measured: it uses a PBE-relaxed structure and Cu Kα (weighted mean of Kα1 and Kα2).

Crystal structure
```
Dy2Cu2Pd
1.0
7.175 0.000 0.000
0.000 7.175 0.000
0.000 0.000 7.637
Dy Cu Pd
8 8 4
direct
0.181 0.319 0.000
0.181 0.319 0.500
0.319 0.819 0.000
0.319 0.819 0.500
0.681 0.181 0.000
0.681 0.181 0.500
0.819 0.681 0.000
0.819 0.681 0.500
0.120 0.620 0.250
0.120 0.620 0.750
0.380 0.120 0.250
0.380 0.120 0.750
0.620 0.880 0.250
0.620 0.880 0.750
0.880 0.380 0.250
0.880 0.380 0.750
0.000 0.000 0.249
0.000 0.000 0.751
0.500 0.500 0.251
0.500 0.500 0.749
```

Most intense lines, 15° ≤ 2θ ≤ 90°, in order of rising 2θ:
- 2θ = 27.8°, intensity 16.2
- 2θ = 34.3°, intensity 62.2
- 2θ = 35.4°, intensity 16.1
- 2θ = 36.6°, intensity 100.0
- 2θ = 39.7°, intensity 36.3
- 2θ = 47.6°, intensity 18.8
- 2θ = 52.6°, intensity 15.7
- 2θ = 58.3°, intensity 19.8
- 2θ = 59.8°, intensity 14.7
- 2θ = 63.7°, intensity 17.5

Record 2
Diffraction record for DyScCuPd. The powder XRD pattern is calculated, not measured: it uses a PBE-relaxed structure and Cu Kα (weighted mean of Kα1 and Kα2).

Crystal structure
```
DyScCuPd
1.0
4.444 0.000 0.000
0.000 3.563 0.000
0.000 0.000 10.260
Dy Sc Cu Pd
2 2 2 2
direct
0.000 0.000 0.000
0.000 0.500 0.500
0.500 0.000 0.280
0.500 0.500 0.780
0.500 0.000 0.565
0.500 0.500 0.065
0.000 0.000 0.724
0.000 0.500 0.224
```

Most intense lines, 15° ≤ 2θ ≤ 90°, in order of rising 2θ:
- 2θ = 20.0°, intensity 34.4
- 2θ = 26.5°, intensity 23.2
- 2θ = 33.4°, intensity 100.0
- 2θ = 35.0°, intensity 27.4
- 2θ = 36.4°, intensity 29.0
- 2θ = 40.6°, intensity 70.4
- 2θ = 41.9°, intensity 72.8
- 2θ = 55.7°, intensity 25.1
- 2θ = 67.4°, intensity 34.2
- 2θ = 69.3°, intensity 25.1

Record 3
Diffraction record for Pm2DyCu6. The powder XRD pattern is calculated, not measured: it uses a PBE-relaxed structure and Cu Kα (weighted mean of Kα1 and Kα2).

Crystal structure
```
Pm2DyCu6
1.0
7.374 0.000 0.000
-3.687 6.386 0.000
0.000 0.000 3.665
Pm Dy Cu
2 1 6
direct
0.333 0.667 0.000
0.667 0.333 0.000
0.000 0.000 0.000
0.000 0.331 0.500
0.000 0.669 0.500
0.331 0.000 0.500
0.331 0.331 0.500
0.669 0.000 0.500
0.669 0.669 0.500
```

Most intense lines, 15° ≤ 2θ ≤ 90°, in order of rising 2θ:
- 2θ = 24.1°, intensity 17.0
- 2θ = 34.5°, intensity 100.0
- 2θ = 42.5°, intensity 48.2
- 2θ = 49.8°, intensity 10.0
- 2θ = 55.8°, intensity 24.6
- 2θ = 56.0°, intensity 3.7
- 2θ = 67.4°, intensity 23.2
- 2θ = 72.6°, intensity 22.0
- 2θ = 77.7°, intensity 7.6
- 2θ = 83.3°, intensity 7.6

Record 4
Diffraction record for Pm2DyCuS5. The powder XRD pattern is calculated, not measured: it uses a PBE-relaxed structure and Cu Kα (weighted mean of Kα1 and Kα2).

Crystal structure
```
Pm2DyCuS5
1.0
1.950 -8.430 0.000
1.950 8.430 0.000
0.000 0.000 11.597
Pm Dy Cu S
4 2 2 10
direct
0.108 0.892 0.500
0.121 0.879 0.125
0.879 0.121 0.625
0.892 0.108 0.000
0.195 0.805 0.825
0.805 0.195 0.325
0.442 0.558 0.269
0.558 0.442 0.769
0.043 0.957 0.874
0.289 0.711 0.489
0.315 0.685 0.162
0.357 0.643 0.816
0.498 0.502 0.593
0.502 0.498 0.093
0.643 0.357 0.316
0.685 0.315 0.662
0.711 0.289 0.989
0.957 0.043 0.374
```

Most intense lines, 15° ≤ 2θ ≤ 90°, in order of rising 2θ:
- 2θ = 21.1°, intensity 19.8
- 2θ = 25.3°, intensity 66.4
- 2θ = 27.8°, intensity 31.2
- 2θ = 28.1°, intensity 19.7
- 2θ = 28.9°, intensity 27.2
- 2θ = 32.8°, intensity 44.5
- 2θ = 33.1°, intensity 100.0
- 2θ = 38.6°, intensity 71.9
- 2θ = 45.8°, intensity 19.8
- 2θ = 46.6°, intensity 26.9

Record 5
Diffraction record for Pr2DyCu. The powder XRD pattern is calculated, not measured: it uses a PBE-relaxed structure and Cu Kα (weighted mean of Kα1 and Kα2).

Crystal structure
```
Pr2DyCu
1.0
3.719 0.000 0.000
-1.859 3.220 0.000
0.000 0.000 30.160
Pr Dy Cu
6 3 3
direct
0.000 0.000 0.000
0.000 0.000 0.194
0.333 0.667 0.667
0.333 0.667 0.861
0.667 0.333 0.333
0.667 0.333 0.527
0.000 0.000 0.430
0.333 0.667 0.096
0.667 0.333 0.763
0.000 0.000 0.597
0.333 0.667 0.264
0.667 0.333 0.931
```

Most intense lines, 15° ≤ 2θ ≤ 90°, in order of rising 2θ:
- 2θ = 26.6°, intensity 20.5
- 2θ = 30.2°, intensity 37.7
- 2θ = 31.5°, intensity 100.0
- 2θ = 34.8°, intensity 33.8
- 2θ = 41.0°, intensity 22.2
- 2θ = 49.0°, intensity 36.7
- 2θ = 56.6°, intensity 24.3
- 2θ = 59.4°, intensity 25.8
- 2θ = 62.1°, intensity 19.1
- 2θ = 80.5°, intensity 17.3

Record 6
Diffraction record for PrDyCu4. The powder XRD pattern is calculated, not measured: it uses a PBE-relaxed structure and Cu Kα (weighted mean of Kα1 and Kα2).

Crystal structure
```
PrDyCu4
1.0
4.325 0.000 0.000
0.000 7.027 0.000
0.000 0.000 7.429
Pr Dy Cu
2 2 8
direct
0.000 0.000 0.000
0.500 0.500 0.500
0.000 0.500 0.079
0.500 0.000 0.579
0.000 0.196 0.379
0.000 0.296 0.708
0.000 0.704 0.708
0.000 0.804 0.379
0.500 0.204 0.208
0.500 0.304 0.879
0.500 0.696 0.879
0.500 0.796 0.208
```

Most intense lines, 15° ≤ 2θ ≤ 90°, in order of rising 2θ:
- 2θ = 23.8°, intensity 18.3
- 2θ = 34.3°, intensity 30.9
- 2θ = 35.1°, intensity 100.0
- 2θ = 35.2°, intensity 41.6
- 2θ = 40.4°, intensity 14.3
- 2θ = 41.8°, intensity 30.9
- 2θ = 42.0°, intensity 45.0
- 2θ = 55.7°, intensity 21.7
- 2θ = 58.0°, intensity 12.6
- 2θ = 68.0°, intensity 17.0

Record 7
Diffraction record for PrDy2CuS5. The powder XRD pattern is calculated, not measured: it uses a PBE-relaxed structure and Cu Kα (weighted mean of Kα1 and Kα2).

Crystal structure
```
PrDy2CuS5
1.0
1.915 -9.237 0.000
1.915 9.237 0.000
0.000 0.000 11.042
Pr Dy Cu S
2 4 2 10
direct
0.198 0.802 0.500
0.802 0.198 0.000
0.087 0.913 0.175
0.109 0.891 0.802
0.891 0.109 0.302
0.913 0.087 0.675
0.436 0.564 0.944
0.564 0.436 0.444
0.048 0.952 0.555
0.304 0.696 0.191
0.333 0.667 0.819
0.362 0.638 0.498
0.496 0.504 0.274
0.504 0.496 0.774
0.638 0.362 0.998
0.667 0.333 0.319
0.696 0.304 0.691
0.952 0.048 0.055
```

Most intense lines, 15° ≤ 2θ ≤ 90°, in order of rising 2θ:
- 2θ = 19.2°, intensity 26.4
- 2θ = 23.7°, intensity 28.0
- 2θ = 26.1°, intensity 65.9
- 2θ = 28.6°, intensity 44.6
- 2θ = 28.8°, intensity 28.7
- 2θ = 30.1°, intensity 41.2
- 2θ = 34.1°, intensity 86.8
- 2θ = 37.5°, intensity 100.0
- 2θ = 47.5°, intensity 34.3
- 2θ = 49.9°, intensity 25.9

Record 8
Diffraction record for PrDyCu2S4. The powder XRD pattern is calculated, not measured: it uses a PBE-relaxed structure and Cu Kα (weighted mean of Kα1 and Kα2).

Crystal structure
```
PrDyCu2S4
1.0
6.523 0.000 0.000
0.000 6.731 0.000
0.000 0.000 7.636
Pr Dy Cu S
2 2 4 8
direct
0.000 0.000 0.000
0.500 0.500 0.500
0.000 0.000 0.500
0.500 0.500 0.000
0.000 0.500 0.170
0.000 0.500 0.830
0.500 0.000 0.330
0.500 0.000 0.670
0.247 0.219 0.301
0.247 0.781 0.699
0.253 0.281 0.801
0.253 0.719 0.199
0.747 0.281 0.199
0.747 0.719 0.801
0.753 0.219 0.699
0.753 0.781 0.301
```

Most intense lines, 15° ≤ 2θ ≤ 90°, in order of rising 2θ:
- 2θ = 18.9°, intensity 28.1
- 2θ = 26.5°, intensity 23.3
- 2θ = 27.3°, intensity 20.2
- 2θ = 30.2°, intensity 100.0
- 2θ = 35.6°, intensity 23.3
- 2θ = 36.2°, intensity 23.2
- 2θ = 38.4°, intensity 55.7
- 2θ = 49.1°, intensity 25.5
- 2θ = 50.1°, intensity 24.2
- 2θ = 51.7°, intensity 21.7

Record 9
Diffraction record for PrDyCuTc. The powder XRD pattern is calculated, not measured: it uses a PBE-relaxed structure and Cu Kα (weighted mean of Kα1 and Kα2).

Crystal structure
```
PrDyCuTc
1.0
7.027 0.000 0.000
0.000 7.027 0.000
0.000 0.000 7.027
Pr Dy Cu Tc
4 4 4 4
direct
0.000 0.000 0.000
0.000 0.500 0.500
0.500 0.000 0.500
0.500 0.500 0.000
0.000 0.000 0.500
0.000 0.500 0.000
0.500 0.000 0.000
0.500 0.500 0.500
0.250 0.250 0.250
0.250 0.750 0.750
0.750 0.250 0.750
0.750 0.750 0.250
0.250 0.250 0.750
0.250 0.750 0.250
0.750 0.250 0.250
0.750 0.750 0.750
```

Most intense lines, 15° ≤ 2θ ≤ 90°, in order of rising 2θ:
- 2θ = 21.9°, intensity 1.5
- 2θ = 25.4°, intensity 9.6
- 2θ = 36.2°, intensity 100.0
- 2θ = 44.7°, intensity 2.9
- 2θ = 52.1°, intensity 17.4
- 2θ = 58.8°, intensity 4.1
- 2θ = 65.0°, intensity 35.2
- 2θ = 76.7°, intensity 10.8
- 2θ = 82.3°, intensity 2.1
- 2θ = 87.9°, intensity 15.7

Record 10
Diffraction record for Dy3Cu2Pt5. The powder XRD pattern is calculated, not measured: it uses a PBE-relaxed structure and Cu Kα (weighted mean of Kα1 and Kα2).

Crystal structure
```
Dy3Cu2Pt5
1.0
9.568 0.000 0.000
0.000 9.568 0.000
0.000 0.000 3.980
Dy Cu Pt
6 4 10
direct
0.000 0.000 0.000
0.175 0.325 0.000
0.325 0.825 0.000
0.500 0.500 0.000
0.675 0.175 0.000
0.825 0.675 0.000
0.119 0.619 0.000
0.381 0.119 0.000
0.619 0.881 0.000
0.881 0.381 0.000
0.000 0.500 0.500
0.073 0.787 0.500
0.213 0.073 0.500
0.287 0.573 0.500
0.427 0.287 0.500
0.500 0.000 0.500
0.573 0.713 0.500
0.713 0.427 0.500
0.787 0.927 0.500
0.927 0.213 0.500
```

Most intense lines, 15° ≤ 2θ ≤ 90°, in order of rising 2θ:
- 2θ = 30.7°, intensity 36.5
- 2θ = 34.8°, intensity 25.7
- 2θ = 37.3°, intensity 100.0
- 2θ = 38.8°, intensity 47.3
- 2θ = 40.9°, intensity 40.4
- 2θ = 42.2°, intensity 23.9
- 2θ = 45.6°, intensity 30.6
- 2θ = 61.4°, intensity 25.0
- 2θ = 63.9°, intensity 14.3
- 2θ = 74.0°, intensity 16.0

Record 11
Diffraction record for DyCu6Pt4. The powder XRD pattern is calculated, not measured: it uses a PBE-relaxed structure and Cu Kα (weighted mean of Kα1 and Kα2).

Crystal structure
```
DyCu6Pt4
1.0
-3.029 3.029 4.804
3.029 -3.029 4.804
3.029 3.029 -4.804
Dy Cu Pt
1 6 4
direct
0.000 0.000 0.000
0.000 0.500 0.500
0.260 0.568 0.000
0.432 0.432 0.692
0.500 0.000 0.500
0.568 0.260 0.000
0.740 0.740 0.308
0.087 0.087 0.531
0.444 0.913 0.000
0.556 0.556 0.469
0.913 0.444 0.000
```

Most intense lines, 15° ≤ 2θ ≤ 90°, in order of rising 2θ:
- 2θ = 27.9°, intensity 63.0
- 2θ = 29.5°, intensity 45.4
- 2θ = 34.4°, intensity 23.4
- 2θ = 35.0°, intensity 100.0
- 2θ = 42.2°, intensity 65.8
- 2θ = 43.2°, intensity 86.4
- 2θ = 45.9°, intensity 21.0
- 2θ = 51.3°, intensity 50.0
- 2θ = 62.0°, intensity 34.8
- 2θ = 72.5°, intensity 27.3

Record 12
Diffraction record for Dy3Cu2Pt. The powder XRD pattern is calculated, not measured: it uses a PBE-relaxed structure and Cu Kα (weighted mean of Kα1 and Kα2).

Crystal structure
```
Dy3Cu2Pt
1.0
11.645 0.000 0.000
0.000 4.362 0.000
0.000 0.000 10.668
Dy Cu Pt
12 8 4
direct
0.050 0.250 0.125
0.112 0.750 0.567
0.224 0.250 0.804
0.276 0.750 0.304
0.388 0.250 0.067
0.450 0.750 0.625
0.550 0.250 0.375
0.612 0.750 0.933
0.724 0.250 0.696
0.776 0.750 0.196
0.888 0.250 0.433
0.950 0.750 0.875
0.011 0.750 0.301
0.190 0.750 0.018
0.310 0.250 0.518
0.489 0.250 0.801
0.511 0.750 0.199
0.690 0.750 0.482
0.810 0.250 0.982
0.989 0.250 0.699
0.129 0.250 0.379
0.371 0.750 0.879
0.629 0.250 0.121
0.871 0.750 0.621
```

Most intense lines, 15° ≤ 2θ ≤ 90°, in order of rising 2θ:
- 2θ = 26.9°, intensity 39.8
- 2θ = 30.6°, intensity 27.2
- 2θ = 32.5°, intensity 100.0
- 2θ = 34.5°, intensity 24.9
- 2θ = 35.2°, intensity 99.7
- 2θ = 38.1°, intensity 57.5
- 2θ = 41.4°, intensity 64.7
- 2θ = 42.7°, intensity 33.3
- 2θ = 48.7°, intensity 26.4
- 2θ = 51.4°, intensity 21.7